Entry 1:
K2BeOsO6: theoretical X-ray powder pattern (Cu Kα, 1.54184 Å), based on the GGA-PBE geometry in Alexandria.

Peak list (10 most intense, 5 to 70 degrees two-theta, most intense first)
| d/Å | 2θ (°) | I_rel |
| --- | --- | --- |
| 4.538 | 19.56 | 100.0 |
| 3.917 | 22.70 | 79.8 |
| 2.783 | 32.16 | 60.7 |
| 2.756 | 32.48 | 49.3 |
| 2.364 | 38.06 | 39.3 |
| 4.480 | 19.82 | 34.4 |
| 1.959 | 46.36 | 22.6 |
| 1.602 | 57.54 | 19.8 |
| 2.348 | 38.34 | 19.3 |
| 1.759 | 52.00 | 17.1 |

Atomic structure:
Unit cell a=9.5186 b=9.5186 c=9.5186 alpha=34.01 beta=34.01 gamma=34.01
Sites, in units of the cell vectors:
K (0.1300, 0.1300, 0.1300)
K (0.2809, 0.2809, 0.2809)
K (0.7191, 0.7191, 0.7191)
K (0.8700, 0.8700, 0.8700)
Be (0.3990, 0.3990, 0.3990)
Be (0.6010, 0.6010, 0.6010)
Os (0.0000, 0.0000, 0.0000)
Os (0.5000, 0.5000, 0.5000)
O (0.1517, 0.6103, 0.6103)
O (0.2034, 0.2034, 0.7116)
O (0.2034, 0.7116, 0.2034)
O (0.2884, 0.7966, 0.7966)
O (0.3897, 0.3897, 0.8483)
O (0.3897, 0.8483, 0.3897)
O (0.6103, 0.1517, 0.6103)
O (0.6103, 0.6103, 0.1517)
O (0.7116, 0.2034, 0.2034)
O (0.7966, 0.2884, 0.7966)
O (0.7966, 0.7966, 0.2884)
O (0.8483, 0.3897, 0.3897)

Entry 2:
Tl8HgSe3: theoretical X-ray powder pattern (Cu Kα, 1.54184 Å), based on the GGA-PBE geometry in Alexandria.

Peak list (10 most intense, 5 to 70 degrees two-theta, most intense first)
| d/Å | 2θ (°) | I_rel |
| --- | --- | --- |
| 2.940 | 30.40 | 100.0 |
| 3.506 | 25.40 | 51.0 |
| 2.184 | 41.34 | 46.1 |
| 1.988 | 45.64 | 25.9 |
| 2.659 | 33.71 | 22.4 |
| 1.753 | 52.17 | 20.3 |
| 1.367 | 68.65 | 16.4 |
| 3.707 | 24.00 | 15.5 |
| 1.505 | 61.63 | 14.8 |
| 1.788 | 51.08 | 10.4 |

Atomic structure:
Unit cell a=8.0159 b=8.0159 c=8.0159 alpha=66.03 beta=66.03 gamma=66.03
Sites, in units of the cell vectors:
Tl (0.2371, 0.2371, 0.2371)
Tl (0.2644, 0.7241, 0.7241)
Tl (0.2759, 0.2759, 0.7356)
Tl (0.2759, 0.7356, 0.2759)
Tl (0.7241, 0.2644, 0.7241)
Tl (0.7241, 0.7241, 0.2644)
Tl (0.7356, 0.2759, 0.2759)
Tl (0.7629, 0.7629, 0.7629)
Hg (0.0000, 0.0000, 0.0000)
Se (0.0000, 0.5000, 0.5000)
Se (0.5000, 0.0000, 0.5000)
Se (0.5000, 0.5000, 0.0000)

Entry 3:
LiPuCl3: theoretical X-ray powder pattern (Cu Kα, 1.54184 Å), based on the GGA-PBE geometry in Alexandria.

Peak list (10 most intense, 5 to 70 degrees two-theta, most intense first)
| d/Å | 2θ (°) | I_rel |
| --- | --- | --- |
| 6.726 | 13.16 | 100.0 |
| 3.769 | 23.60 | 44.5 |
| 3.492 | 25.51 | 43.6 |
| 2.803 | 31.93 | 36.1 |
| 2.824 | 31.69 | 35.6 |
| 4.551 | 19.51 | 34.4 |
| 2.367 | 38.02 | 30.0 |
| 2.151 | 42.01 | 19.6 |
| 2.166 | 41.71 | 15.0 |
| 3.480 | 25.59 | 14.1 |

Atomic structure:
Unit cell a=3.9356 b=8.1053 c=8.1377 alpha=68.16 beta=89.61 gamma=89.61
Sites, in units of the cell vectors:
Li (0.0039, 0.1896, 0.3110)
Li (0.9961, 0.8104, 0.6890)
Pu (0.2521, 0.7420, 0.2411)
Pu (0.7479, 0.2580, 0.7589)
Cl (0.2439, 0.1674, 0.0464)
Cl (0.2440, 0.5467, 0.6668)
Cl (0.2502, 0.1021, 0.6033)
Cl (0.7498, 0.8979, 0.3967)
Cl (0.7560, 0.4533, 0.3332)
Cl (0.7561, 0.8326, 0.9536)

Please write out number 2 again, unchanged.
Tl8HgSe3: theoretical X-ray powder pattern (Cu Kα, 1.54184 Å), based on the GGA-PBE geometry in Alexandria.

Peak list (10 most intense, 5 to 70 degrees two-theta, most intense first)
| d/Å | 2θ (°) | I_rel |
| --- | --- | --- |
| 2.940 | 30.40 | 100.0 |
| 3.506 | 25.40 | 51.0 |
| 2.184 | 41.34 | 46.1 |
| 1.988 | 45.64 | 25.9 |
| 2.659 | 33.71 | 22.4 |
| 1.753 | 52.17 | 20.3 |
| 1.367 | 68.65 | 16.4 |
| 3.707 | 24.00 | 15.5 |
| 1.505 | 61.63 | 14.8 |
| 1.788 | 51.08 | 10.4 |

Atomic structure:
Unit cell a=8.0159 b=8.0159 c=8.0159 alpha=66.03 beta=66.03 gamma=66.03
Sites, in units of the cell vectors:
Tl (0.2371, 0.2371, 0.2371)
Tl (0.2644, 0.7241, 0.7241)
Tl (0.2759, 0.2759, 0.7356)
Tl (0.2759, 0.7356, 0.2759)
Tl (0.7241, 0.2644, 0.7241)
Tl (0.7241, 0.7241, 0.2644)
Tl (0.7356, 0.2759, 0.2759)
Tl (0.7629, 0.7629, 0.7629)
Hg (0.0000, 0.0000, 0.0000)
Se (0.0000, 0.5000, 0.5000)
Se (0.5000, 0.0000, 0.5000)
Se (0.5000, 0.5000, 0.0000)